# 1
This entry pairs a crystal structure of Hg3Bi2Te2Cl8 with its calculated powder diffraction line list. Radiation: Cu Kα. Structure: a crystal structure in OQMD, relaxed with GGA-PBE.
Intensities are scaled so that the largest is 1000.

Principal peaks in the range 10 to 90 degrees two-theta, sorted by position:
2θ/deg  intensity
10.30  162
19.00  1000
20.68  179
24.95  172
27.23  191
31.62  238
36.00  451
37.86  157
38.59  167
46.28  221

```
30
Lattice="8.881 -3.905 0.000 8.881 3.905 0.000 -3.457 0.000 13.167" Properties=species:S:1:pos:R:3 pbc="T T T"
Hg 4.440 1.953 0.000
Hg 3.481 0.117 3.360
Hg 1.753 -0.117 9.944
Hg 2.712 -1.953 6.583
Hg 12.552 0.117 3.223
Hg 10.823 -0.117 9.806
Bi 6.241 2.081 7.416
Bi 6.335 2.081 12.335
Bi 7.970 -2.081 0.832
Bi 8.064 -2.081 5.751
Te 5.296 1.962 2.569
Te 10.737 1.962 4.014
Te 3.568 -1.962 9.152
Te 9.008 -1.962 10.598
Cl 1.272 0.842 6.901
Cl 7.530 3.054 5.095
Cl 8.503 3.054 1.488
Cl 4.580 1.785 9.542
Cl 3.001 -0.842 0.317
Cl 7.996 1.785 10.208
Cl 3.751 0.184 12.701
Cl 5.479 -0.184 6.117
Cl 8.826 0.184 7.049
Cl 10.554 -0.184 0.466
Cl 6.308 -1.785 2.959
Cl 11.304 0.842 12.849
Cl 9.725 -1.785 3.624
Cl 5.802 -3.054 11.679
Cl 6.774 -3.054 8.071
Cl 13.033 -0.842 6.266
```

---

# 2
This entry pairs a crystal structure of HoBiSbClO4 with its calculated powder diffraction line list. Radiation: Cu Kα. Structure: a crystal structure in OQMD, relaxed with GGA-PBE.
Intensities are scaled so that the largest is 1000.

Principal peaks in the range 10 to 90 degrees two-theta, sorted by position:
2θ/deg  intensity
10.06  213
25.46  279
31.04  1000
33.23  351
45.71  202
47.70  218
53.79  197
57.70  170
58.00  338
78.03  123

```
8
Lattice="3.813 0.000 0.000 0.000 3.813 0.000 0.000 0.000 8.796" Properties=species:S:1:pos:R:3 pbc="T T T"
Ho 0.000 0.000 0.000
Bi 1.907 1.907 6.299
Sb 1.907 1.907 2.458
Cl 0.000 0.000 4.521
O 0.000 1.907 1.457
O 0.000 1.907 7.487
O 1.907 0.000 1.457
O 1.907 0.000 7.487
```

---

# 3
This entry pairs a crystal structure of PmBiN2Cl2 with its calculated powder diffraction line list. Radiation: Cu Kα. Structure: a crystal structure in OQMD, relaxed with GGA-PBE.
Intensities are scaled so that the largest is 1000.

Principal peaks in the range 10 to 90 degrees two-theta, sorted by position:
2θ/deg  intensity
11.54  209
23.20  223
26.02  822
33.09  1000
40.82  280
47.52  214
49.03  199
53.48  286
54.97  228
59.11  218

```
6
Lattice="3.827 0.000 0.000 0.000 3.827 0.000 0.000 0.000 7.668" Properties=species:S:1:pos:R:3 pbc="T T T"
Pm 0.000 0.000 0.000
Bi 1.913 1.913 4.723
N 0.000 1.913 6.093
N 1.913 0.000 6.093
Cl 0.000 0.000 3.054
Cl 1.913 1.913 1.088
```

---

# 4
This entry pairs a crystal structure of NbBi4ClO8 with its calculated powder diffraction line list. Radiation: Cu Kα. Structure: a crystal structure in OQMD, relaxed with GGA-PBE.
Intensities are scaled so that the largest is 1000.

Principal peaks in the range 10 to 90 degrees two-theta, sorted by position:
2θ/deg  intensity
12.44  139
23.55  200
25.96  177
29.57  1000
32.19  191
32.41  264
34.04  140
46.33  203
56.07  199
56.85  186

```
56
Lattice="28.454 0.000 0.000 0.000 5.562 0.000 0.000 0.000 5.523" Properties=species:S:1:pos:R:3 pbc="T T T"
Nb 7.111 1.363 0.000
Nb 7.116 4.144 2.762
Nb 21.338 1.418 0.000
Nb 21.343 4.199 2.762
Bi 1.885 1.314 0.034
Bi 1.884 4.095 2.702
Bi 4.467 1.073 2.851
Bi 4.456 3.858 5.412
Bi 9.771 1.077 2.651
Bi 9.760 3.854 0.090
Bi 12.343 1.314 5.464
Bi 12.342 4.095 2.796
Bi 16.112 1.467 0.034
Bi 16.111 4.248 2.702
Bi 18.694 1.708 2.851
Bi 18.683 4.485 5.412
Bi 23.998 1.704 2.651
Bi 23.987 4.489 0.090
Bi 26.570 1.467 5.464
Bi 26.569 4.248 2.796
Cl 0.000 1.391 2.746
Cl 0.000 4.171 5.507
Cl 14.227 1.390 2.746
Cl 14.227 4.172 5.507
O 2.935 2.777 4.136
O 2.939 5.555 4.127
O 3.005 2.705 1.359
O 3.012 5.487 1.376
O 5.225 1.728 4.969
O 5.223 4.514 3.300
O 6.639 0.192 1.407
O 6.635 2.962 1.374
O 7.592 0.181 4.136
O 7.588 2.974 4.169
O 9.004 1.733 0.539
O 9.002 4.509 2.208
O 11.215 2.706 4.138
O 11.222 5.486 4.120
O 11.288 2.774 1.365
O 11.292 5.558 1.374
O 17.162 0.004 4.136
O 17.166 2.788 4.127
O 17.232 0.076 1.359
O 17.239 2.856 1.376
O 19.452 1.053 4.969
O 19.450 3.829 3.300
O 20.866 2.589 1.407
O 20.862 5.381 1.374
O 21.819 2.600 4.136
O 21.815 5.370 4.169
O 23.231 1.048 0.539
O 23.229 3.834 2.208
O 25.442 0.075 4.138
O 25.449 2.857 4.120
O 25.515 0.007 1.365
O 25.519 2.785 1.374
```

---

# 5
This entry pairs a crystal structure of NdBiCl2O2 with its calculated powder diffraction line list. Radiation: Cu Kα. Structure: a crystal structure in OQMD, relaxed with GGA-PBE.
Intensities are scaled so that the largest is 1000.

Principal peaks in the range 10 to 90 degrees two-theta, sorted by position:
2θ/deg  intensity
12.60  428
25.65  1000
31.67  661
33.99  919
41.00  272
45.40  329
50.64  257
52.87  303
57.32  198
57.91  389

```
6
Lattice="3.995 0.000 0.000 0.000 3.995 0.000 0.000 0.000 7.023" Properties=species:S:1:pos:R:3 pbc="T T T"
Nd 0.000 0.000 0.000
Bi 1.998 1.998 2.460
Cl 0.000 0.000 3.982
Cl 1.998 1.998 5.869
O 0.000 1.998 1.294
O 1.998 0.000 1.294
```

---

# 6
This entry pairs a crystal structure of PrBiCl2O2 with its calculated powder diffraction line list. Radiation: Cu Kα. Structure: a crystal structure in OQMD, relaxed with GGA-PBE.
Intensities are scaled so that the largest is 1000.

Principal peaks in the range 10 to 90 degrees two-theta, sorted by position:
2θ/deg  intensity
12.59  424
25.56  1000
31.53  663
33.91  914
40.88  277
45.20  331
50.52  254
52.65  304
57.23  199
57.69  389

```
6
Lattice="4.012 0.000 0.000 0.000 4.012 0.000 0.000 0.000 7.029" Properties=species:S:1:pos:R:3 pbc="T T T"
Pr 0.000 0.000 0.000
Bi 2.006 2.006 2.469
Cl 0.000 0.000 3.983
Cl 2.006 2.006 5.870
O 0.000 2.006 1.312
O 2.006 0.000 1.312
```

---

Repeat the second record exactly.
This entry pairs a crystal structure of HoBiSbClO4 with its calculated powder diffraction line list. Radiation: Cu Kα. Structure: a crystal structure in OQMD, relaxed with GGA-PBE.
Intensities are scaled so that the largest is 1000.

Principal peaks in the range 10 to 90 degrees two-theta, sorted by position:
2θ/deg  intensity
10.06  213
25.46  279
31.04  1000
33.23  351
45.71  202
47.70  218
53.79  197
57.70  170
58.00  338
78.03  123

```
8
Lattice="3.813 0.000 0.000 0.000 3.813 0.000 0.000 0.000 8.796" Properties=species:S:1:pos:R:3 pbc="T T T"
Ho 0.000 0.000 0.000
Bi 1.907 1.907 6.299
Sb 1.907 1.907 2.458
Cl 0.000 0.000 4.521
O 0.000 1.907 1.457
O 0.000 1.907 7.487
O 1.907 0.000 1.457
O 1.907 0.000 7.487
```